Diffraction record for Ba4LiNb3O12. The powder diffractogram is computed, not measured: it uses a cell relaxed with PBE and Cu Kα X-rays.
Neutral-atom scattering factors, no anomalous dispersion.

The 8 most intense peaks (10° ≤ 2θ ≤ 80°), by angle:
index	2theta	I (rel.)
1 0 4	25.67	27
1 0 5	29.30	77
1 1 0	30.73	100
1 0 6	33.24	19
2 0 5	42.98	43
2 1 5	53.76	28
3 0 0	54.64	20
2 2 0	64.01	20

```
data_Ba4LiNb3O12
_cell_length_a 5.8182
_cell_length_b 5.8182
_cell_length_c 19.1406
_cell_angle_alpha 90.00
_cell_angle_beta 90.00
_cell_angle_gamma 120.00
_space_group_name_H-M_alt 'P 63 m c'
_space_group_IT_number 186
_space_group_name_Hall 'P 6c -2c'
loop_
_atom_site_label
_atom_site_type_symbol
_atom_site_fract_x
_atom_site_fract_y
_atom_site_fract_z
Ba1 Ba 0.0000 0.0000 0.0000
Ba2 Ba 0.3333 0.6667 0.1413
Ba3 Ba 0.3333 0.6667 0.3687
Ba4 Ba 0.3333 0.6667 0.7473
Li1 Li 0.0000 0.0000 0.1650
Nb1 Nb 0.0000 0.0000 0.3059
Nb2 Nb 0.3333 0.6667 0.5663
Nb3 Nb 0.3333 0.6667 0.9378
O1 O 0.0015 0.5008 0.9955
O2 O 0.1609 0.3218 0.2539
O3 O 0.1689 0.3378 0.8763
O4 O 0.1717 0.3435 0.6178
```


Diffraction record for Ba5LiNb4O15. The powder diffractogram is computed, not measured: it uses a cell relaxed with PBE and Cu Kα X-rays.
Neutral-atom scattering factors, no anomalous dispersion.

The 8 most intense peaks (10° ≤ 2θ ≤ 80°), by angle:
index	2theta	I (rel.)
1 0 10	30.62	99
1 1 0	30.74	100
0 2 10	43.94	64
0 1 20	54.37	18
3 0 0	54.60	59
2 0 20	63.76	18
2 2 0	64.02	20
1 3 10	72.63	17

```
data_Ba5LiNb4O15
_cell_length_a 5.8176
_cell_length_b 5.8176
_cell_length_c 35.8192
_cell_angle_alpha 90.00
_cell_angle_beta 90.00
_cell_angle_gamma 120.00
_space_group_name_H-M_alt 'R -3 m'
_space_group_IT_number 166
_space_group_name_Hall '-R 3 2"'
loop_
_atom_site_label
_atom_site_type_symbol
_atom_site_fract_x
_atom_site_fract_y
_atom_site_fract_z
Ba1 Ba 0.0000 0.0000 0.0000
Ba2 Ba 0.0000 0.0000 0.1976
Ba3 Ba 0.0000 0.0000 0.4036
Li1 Li 0.0000 0.0000 0.5000
Nb1 Nb 0.0000 0.0000 0.1025
Nb2 Nb 0.0000 0.0000 0.3001
O1 O 0.0000 0.5000 0.0000
O2 O 0.0017 0.5009 0.3980
O3 O 0.0103 0.5051 0.7972
```